Entry 1:
Simulated powder diffraction line list of NbHgIr3 for Cu Kα, 1.54184 Å, from DFT lattice parameters and positions (GGA-PBE).
Lines closer than 0.1° are merged.

Atomic structure:
a = 4.797 Å, b = 4.797 Å, c = 4.797 Å
α = 90.00°, β = 90.00°, γ = 90.00°
Space group Pm-3m (No. 221)
Symmetry-distinct sites (fractional):
Nb1 0.000 0.000 0.000
Hg1 0.500 0.500 0.500
Ir1 0.000 0.000 0.500

Principal peaks in the range 2θ from 10° to 90°, in order of rising 2θ:
| 2θ (°) | intensity | (hkl) |
| --- | --- | --- |
| 18.50 | 5 | 1 0 0 |
| 26.27 | 7 | 1 1 0 |
| 32.32 | 100 | 1 1 1 |
| 37.50 | 84 | 2 0 0 |
| 42.12 | 2 | 2 1 0 |
| 46.36 | 3 | 2 1 1 |
| 54.07 | 59 | 2 2 0 |
| 64.42 | 43 | 3 1 1 |
| 67.66 | 20 | 2 2 2 |
| 73.93 | 1 | 3 2 1 |
| 80.00 | 10 | 4 0 0 |
| 88.93 | 19 | 3 3 1 |

Entry 2:
Simulated powder diffraction line list of Nd4Hg5Ir2 for Cu Kα, 1.54184 Å, from DFT lattice parameters and positions (GGA-PBE).
Lines closer than 0.1° are merged.

Atomic structure:
a = 7.831 Å, b = 3.788 Å, c = 9.711 Å
α = 90.00°, β = 94.68°, γ = 90.00°
Space group P2/m (No. 10)
Symmetry-distinct sites (fractional):
Nd1 0.181 0.000 0.349
Nd2 0.219 0.000 0.940
Hg1 0.169 0.500 0.644
Hg2 0.456 0.500 0.170
Hg3 0.500 0.500 0.500
Ir1 0.077 0.500 0.140

Principal peaks in the range 2θ from 10° to 90°, in order of rising 2θ:
| 2θ (°) | intensity | (hkl) |
| --- | --- | --- |
| 23.49 | 54 | 0 1 0 |
| 31.57 | 74 | 1 1 -2 |
| 32.68 | 100 | 1 1 2 |
| 32.95 | 74 | 2 1 0 |
| 34.47 | 52 | 3 0 0 |
| 34.60 | 49 | 2 0 -3 |
| 36.59 | 52 | 0 1 3 |
| 37.00 | 44 | 2 1 -2 |
| 37.59 | 38 | 2 0 3 |
| 48.04 | 50 | 0 2 0 |
| 60.50 | 41 | 3 2 0 |
| 62.58 | 36 | 2 2 3 |

Entry 3:
Simulated powder diffraction line list of Nd8Hg2Ir for Cu Kα, 1.54184 Å, from DFT lattice parameters and positions (GGA-PBE).
Lines closer than 0.1° are merged.

Atomic structure:
a = 7.990 Å, b = 16.364 Å, c = 6.465 Å
α = 90.00°, β = 124.24°, γ = 90.00°
Space group Cm (No. 8)
Symmetry-distinct sites (fractional):
Nd1 0.000 0.000 0.000
Nd2 0.008 0.115 0.491
Nd3 0.049 0.387 0.858
Nd4 0.051 0.500 0.384
Nd5 0.282 0.194 0.157
Hg1 0.276 0.284 0.667
Ir1 0.275 0.000 0.870

Principal peaks in the range 2θ from 10° to 90°, in order of rising 2θ:
| 2θ (°) | intensity | (hkl) |
| --- | --- | --- |
| 16.59 | 14 | 0 0 1 |
| 28.64 | 13 | 1 1 -2 |
| 28.82 | 26 | 2 0 -2 |
| 29.16 | 32 | 2 2 0 |
| 30.89 | 100 | 1 5 -1 |
| 31.40 | 96 | 1 3 1 |
| 34.92 | 21 | 2 4 0 |
| 35.33 | 35 | 0 2 2 |
| 35.78 | 22 | 3 1 -2 |
| 38.10 | 27 | 3 3 -1 |
| 55.03 | 16 | 2 0 2 |
| 60.76 | 15 | 3 5 1 |

Entry 4:
Simulated powder diffraction line list of Hg2IrO5 for Cu Kα, 1.54184 Å, from DFT lattice parameters and positions (GGA-PBE).
Lines closer than 0.1° are merged.

Atomic structure:
a = 8.622 Å, b = 7.266 Å, c = 5.399 Å
α = 90.00°, β = 108.99°, γ = 90.00°
Space group Cm (No. 8)
Symmetry-distinct sites (fractional):
Hg1 0.000 0.244 0.000
Ir1 0.223 0.500 0.495
O1 0.009 0.500 0.211
O2 0.133 0.500 0.750
O3 0.273 0.288 0.360
O4 0.452 0.500 0.770

Principal peaks in the range 2θ from 10° to 90°, in order of rising 2θ:
| 2θ (°) | intensity | (hkl) |
| --- | --- | --- |
| 16.34 | 60 | 1 1 0 |
| 17.37 | 20 | 0 0 1 |
| 21.16 | 34 | 1 1 -1 |
| 23.07 | 100 | 2 0 -1 |
| 30.19 | 92 | 0 2 1 |
| 32.25 | 47 | 2 0 1 |
| 33.03 | 64 | 2 2 0 |
| 35.16 | 28 | 0 0 2 |
| 43.08 | 43 | 2 2 -2 |
| 49.26 | 22 | 4 2 -1 |
| 54.43 | 20 | 2 2 2 |
| 55.96 | 20 | 2 4 -1 |

Entry 5:
Simulated powder diffraction line list of Hg4Ir6O19 for Cu Kα, 1.54184 Å, from DFT lattice parameters and positions (GGA-PBE).
Lines closer than 0.1° are merged.

Atomic structure:
a = 9.306 Å, b = 9.306 Å, c = 9.306 Å
α = 90.00°, β = 90.00°, γ = 90.00°
Space group I23 (No. 197)
Symmetry-distinct sites (fractional):
Hg1 0.141 0.141 0.141
Ir1 0.000 0.163 0.500
O1 0.000 0.000 0.000
O2 0.000 0.000 0.363
O3 0.010 0.291 0.335

Principal peaks in the range 2θ from 10° to 90°, in order of rising 2θ:
| 2θ (°) | intensity | (hkl) |
| --- | --- | --- |
| 19.07 | 20 | 2 0 0 |
| 23.42 | 49 | 2 1 1 |
| 30.37 | 100 | 3 0 1 |
| 33.35 | 22 | 2 2 2 |
| 36.11 | 59 | 3 1 2 |
| 47.89 | 14 | 4 2 2 |
| 49.97 | 50 | 4 3 1 |
| 53.97 | 19 | 5 1 2 |
| 59.61 | 24 | 6 0 0 |
| 61.42 | 15 | 5 2 3 |
| 68.37 | 16 | 6 1 3 |
| 81.43 | 12 | 7 2 3 |

Entry 6:
Simulated powder diffraction line list of HgIrO4 for Cu Kα, 1.54184 Å, from DFT lattice parameters and positions (GGA-PBE).
Lines closer than 0.1° are merged.

Atomic structure:
a = 7.258 Å, b = 8.704 Å, c = 6.235 Å
α = 90.00°, β = 116.29°, γ = 90.00°
Space group C2/c (No. 15)
Symmetry-distinct sites (fractional):
Hg1 0.000 0.112 0.250
Ir1 0.000 0.491 0.750
O1 0.010 0.356 0.476
O2 0.218 0.045 0.096

Principal peaks in the range 2θ from 10° to 90°, in order of rising 2θ:
| 2θ (°) | intensity | (hkl) |
| --- | --- | --- |
| 18.71 | 44 | 1 1 -1 |
| 20.41 | 78 | 0 2 0 |
| 25.95 | 76 | 0 2 1 |
| 27.41 | 100 | 2 0 0 |
| 31.64 | 58 | 2 0 -2 |
| 32.02 | 52 | 0 0 2 |
| 32.35 | 33 | 2 2 -1 |
| 33.83 | 50 | 1 3 0 |
| 37.95 | 28 | 2 2 -2 |
| 42.57 | 46 | 1 3 -2 |
| 51.66 | 38 | 2 0 2 |
| 54.57 | 26 | 1 5 0 |

Entry 7:
Simulated powder diffraction line list of Hg2IrPb2O6 for Cu Kα, 1.54184 Å, from DFT lattice parameters and positions (GGA-PBE).
Lines closer than 0.1° are merged.

Atomic structure:
a = 5.803 Å, b = 10.156 Å, c = 8.028 Å
α = 90.00°, β = 107.28°, γ = 90.00°
Space group C2/m (No. 12)
Symmetry-distinct sites (fractional):
Hg1 0.000 0.245 0.000
Ir1 0.000 0.000 0.500
Pb1 0.000 0.334 0.500
O1 0.088 0.144 0.364
O2 0.154 0.500 0.363

Principal peaks in the range 2θ from 10° to 90°, in order of rising 2θ:
| 2θ (°) | intensity | (hkl) |
| --- | --- | --- |
| 11.54 | 38 | 0 0 1 |
| 17.46 | 30 | 0 2 0 |
| 20.98 | 42 | 0 2 1 |
| 23.21 | 100 | 0 0 2 |
| 30.95 | 25 | 1 3 0 |
| 31.35 | 40 | 1 3 -1 |
| 32.31 | 47 | 2 0 0 |
| 33.83 | 33 | 2 0 -2 |
| 34.84 | 22 | 1 3 1 |
| 35.91 | 27 | 1 3 -2 |
| 43.50 | 21 | 1 3 -3 |
| 55.60 | 22 | 0 6 1 |

Entry 8:
Simulated powder diffraction line list of ScHgIrO6 for Cu Kα, 1.54184 Å, from DFT lattice parameters and positions (GGA-PBE).
Lines closer than 0.1° are merged.

Atomic structure:
a = 5.3673 Å, b = 5.3673 Å, c = 9.5134 Å
α = 90.00°, β = 90.00°, γ = 120.00°
Space group P-31c (No. 163)
Symmetry-distinct sites (fractional):
Sc1 0.3333 0.6667 0.2500
Hg1 0.0000 0.0000 0.0000
Ir1 0.3333 0.6667 0.7500
O1 0.0245 0.3833 0.6363

Principal peaks in the range 2θ from 10° to 90°, in order of rising 2θ:
| 2θ (°) | intensity | (hkl) |
| --- | --- | --- |
| 21.27 | 29 | 1 0 1 |
| 26.82 | 100 | 1 0 2 |
| 33.39 | 42 | 1 1 0 |
| 43.33 | 27 | 2 0 2 |
| 51.33 | 37 | 1 1 4 |
| 55.78 | 27 | 2 1 2 |
| 59.68 | 13 | 3 0 0 |
| 61.82 | 9 | 1 0 6 |
| 72.86 | 9 | 3 0 4 |
| 76.57 | 11 | 4 -1 2 |
| 81.83 | 9 | 3 -1 6 |
| 82.55 | 9 | 4 -2 4 |